# LiV4Ni2O12
Computed X-ray diffraction stick pattern, CuKα. Input: a PBE+U-relaxed structure.
Kinematic intensities with the Lorentz-polarization factor, no thermal factor.

The 10 most intense peaks (10° ≤ 2θ ≤ 90°), in order of rising 2θ:
- d = 6.423 Å, I 493, (0 1 0)
- d = 4.794 Å, I 425, (1 1 0)
- d = 4.683 Å, I 534, (1 0 1)
- d = 4.453 Å, I 724, (0 1 -1)
- d = 3.145 Å, I 1000, (1 2 0)
- d = 3.135 Å, I 816, (1 0 2)
- d = 3.060 Å, I 738, (0 1 2)
- d = 2.987 Å, I 401, (0 2 1)
- d = 2.695 Å, I 780, (2 0 0)
- d = 1.992 Å, I 379, (1 3 -1)

Structure:
a b c (Å): 5.744 6.722 6.877
angles (deg): 81.94 76.54 73.43
Sites, in units of the cell vectors:
Li  0.000  0.000  0.000
V  0.423  0.226  0.072
V  0.460  0.798  0.658
V  0.889  0.454  0.880
V  0.944  0.990  0.488
Ni  0.462  0.692  0.194
Ni  0.961  0.534  0.355
O  0.053  0.835  0.286
O  0.137  0.925  0.681
O  0.189  0.241  0.938
O  0.332  0.428  0.231
O  0.469  0.990  0.203
O  0.499  0.667  0.885
O  0.556  0.633  0.473
O  0.631  0.991  0.605
O  0.723  0.231  0.926
O  0.836  0.589  0.101
O  0.933  0.233  0.400
O  0.983  0.555  0.639